# CeTm2S3
Calculated powder diffractogram, Cu Ka. Input: DFT lattice parameters and positions (PBE).
Lines closer than 0.1° are merged.

Principal peaks in the range 10° ≤ 2θ ≤ 90°, by angle:
2θ = 27.86°, intensity 626; 2θ = 28.13°, intensity 610; 2θ = 32.33°, intensity 509; 2θ = 32.49°, intensity 1000; 2θ = 46.49°, intensity 725; 2θ = 55.00°, intensity 305; 2θ = 55.47°, intensity 197; 2θ = 57.56°, intensity 188; 2θ = 58.15°, intensity 186; 2θ = 85.91°, intensity 183

Crystal structure
Lattice parameters (Å, degrees): 6.789 6.789 6.789 146.87 131.85 59.69
Fractional coordinates of all 6 atoms:
Ce: 0.000 0.000 0.000
Tm: 0.336 0.336 0.000
Tm: 0.664 0.664 0.000
S: 0.176 0.676 0.500
S: 0.500 0.000 0.500
S: 0.824 0.324 0.500